1.
The following is a simulated powder diffraction line list of LiTa2Te4Br10O. It was derived from a cell relaxed with PBE, using Cu Kα, 1.54184 Å.
No peak broadening, texture or thermal motion is included.

Crystal structure
```
data_LiTa2Te4Br10O
_cell_length_a 8.276
_cell_length_b 9.488
_cell_length_c 9.754
_cell_angle_alpha 95.58
_cell_angle_beta 105.63
_cell_angle_gamma 95.36
_symmetry_space_group_name_H-M 'P 1'
_symmetry_Int_Tables_number 1
loop_
_symmetry_equiv_pos_as_xyz
'x,y,z'
loop_
_atom_site_label
_atom_site_fract_x
_atom_site_fract_y
_atom_site_fract_z
Li1 0.000 0.000 0.000
Ta1 0.047 0.201 0.352
Ta2 0.056 0.944 0.630
Te1 0.308 0.479 0.890
Te2 0.460 0.747 0.020
Te3 0.611 0.370 0.995
Te4 0.762 0.637 0.131
Br1 0.024 0.366 0.150
Br2 0.060 0.784 0.850
Br3 0.195 0.760 0.524
Br4 0.239 0.057 0.235
Br5 0.299 0.350 0.508
Br6 0.345 0.070 0.782
Br7 0.766 0.820 0.511
Br8 0.796 0.026 0.160
Br9 0.834 0.324 0.435
Br10 0.925 0.126 0.774
O1 0.049 0.065 0.487
```

Main lines, in order of falling intensity (5 to 70 degrees two-theta):
12.48 deg, d = 7.091 Å, intensity 100.0, hkl 1 0 -1
20.16 deg, d = 4.405 Å, intensity 61.9, hkl 0 1 -2
14.24 deg, d = 6.221 Å, intensity 48.2, hkl 0 1 1
11.19 deg, d = 7.907 Å, intensity 45.4, hkl 1 0 0
25.17 deg, d = 3.538 Å, intensity 36.2, hkl 0 2 -2
31.40 deg, d = 2.849 Å, intensity 34.0, hkl -2 2 2

---

2.
The following is a simulated powder diffraction line list of LiTa2Te4Br10O. It was derived from a cell relaxed with PBE, using Cu Kα, 1.54184 Å.
No peak broadening, texture or thermal motion is included.

Crystal structure
```
data_LiTa2Te4Br10O
_cell_length_a 8.299
_cell_length_b 8.850
_cell_length_c 10.403
_cell_angle_alpha 84.88
_cell_angle_beta 83.85
_cell_angle_gamma 69.93
_symmetry_space_group_name_H-M 'P 1'
_symmetry_Int_Tables_number 1
loop_
_symmetry_equiv_pos_as_xyz
'x,y,z'
loop_
_atom_site_label
_atom_site_fract_x
_atom_site_fract_y
_atom_site_fract_z
Li1 0.000 0.000 0.000
Ta1 0.013 0.908 0.651
Ta2 0.265 0.986 0.338
Te1 0.448 0.379 0.956
Te2 0.574 0.624 0.870
Te3 0.700 0.265 0.131
Te4 0.829 0.509 0.039
Br1 0.018 0.259 0.305
Br2 0.086 0.857 0.217
Br3 0.177 0.031 0.789
Br4 0.250 0.634 0.694
Br5 0.411 0.038 0.113
Br6 0.416 0.127 0.448
Br7 0.486 0.717 0.363
Br8 0.783 0.174 0.635
Br9 0.850 0.852 0.886
Br10 0.852 0.767 0.552
O1 0.136 0.947 0.497
```

Main lines, in order of falling intensity (5 to 70 degrees two-theta):
13.31 deg, d = 6.654 Å, intensity 100.0, hkl 0 1 1
13.69 deg, d = 6.468 Å, intensity 55.7, hkl 1 0 1
21.43 deg, d = 4.147 Å, intensity 55.5, hkl 1 0 -2
22.64 deg, d = 3.927 Å, intensity 54.3, hkl 1 1 -2
29.18 deg, d = 3.061 Å, intensity 49.6, hkl 2 2 2
10.66 deg, d = 8.299 Å, intensity 41.6, hkl 0 1 0

---

3.
The following is a simulated powder diffraction line list of LiTa2Te4Br10O. It was derived from a cell relaxed with PBE, using Cu Kα, 1.54184 Å.
No peak broadening, texture or thermal motion is included.

Crystal structure
```
data_LiTa2Te4Br10O
_cell_length_a 7.988
_cell_length_b 8.526
_cell_length_c 9.980
_cell_angle_alpha 94.38
_cell_angle_beta 91.85
_cell_angle_gamma 103.61
_symmetry_space_group_name_H-M 'P 1'
_symmetry_Int_Tables_number 1
loop_
_symmetry_equiv_pos_as_xyz
'x,y,z'
loop_
_atom_site_label
_atom_site_fract_x
_atom_site_fract_y
_atom_site_fract_z
Li1 0.000 0.000 0.000
Ta1 0.873 0.478 0.129
Ta2 0.904 0.205 0.408
Te1 0.198 0.741 0.626
Te2 0.281 0.037 0.781
Te3 0.462 0.648 0.758
Te4 0.540 0.936 0.918
Br1 0.072 0.041 0.254
Br2 0.175 0.636 0.171
Br3 0.209 0.380 0.484
Br4 0.566 0.322 0.045
Br5 0.618 0.029 0.331
Br6 0.744 0.644 0.289
Br7 0.781 0.381 0.565
Br8 0.848 0.692 0.939
Br9 0.926 0.008 0.591
Br10 0.976 0.294 0.943
O1 0.894 0.335 0.260
```

Main lines, in order of falling intensity (5 to 70 degrees two-theta):
14.12 deg, d = 6.272 Å, intensity 100.0, hkl 1 0 -1
20.04 deg, d = 4.430 Å, intensity 69.2, hkl 0 1 -2
29.17 deg, d = 3.062 Å, intensity 57.3, hkl -1 2 2
14.53 deg, d = 6.096 Å, intensity 51.5, hkl 0 1 1
11.41 deg, d = 7.753 Å, intensity 43.9, hkl 1 0 0
29.77 deg, d = 3.001 Å, intensity 38.5, hkl 2 1 1

---

4.
The following is a simulated powder diffraction line list of LiTa2Te4Br10O. It was derived from a cell relaxed with PBE, using Cu Kα, 1.54184 Å.
No peak broadening, texture or thermal motion is included.

Crystal structure
```
data_LiTa2Te4Br10O
_cell_length_a 7.256
_cell_length_b 8.076
_cell_length_c 12.000
_cell_angle_alpha 85.07
_cell_angle_beta 87.30
_cell_angle_gamma 75.98
_symmetry_space_group_name_H-M 'P 1'
_symmetry_Int_Tables_number 1
loop_
_symmetry_equiv_pos_as_xyz
'x,y,z'
loop_
_atom_site_label
_atom_site_fract_x
_atom_site_fract_y
_atom_site_fract_z
Li1 0.000 0.000 0.000
Ta1 0.293 0.873 0.205
Ta2 0.441 0.946 0.896
Te1 0.085 0.471 0.602
Te2 0.634 0.356 0.485
Te3 0.857 0.247 0.670
Te4 0.859 0.582 0.418
Br1 0.036 0.152 0.188
Br2 0.048 0.721 0.138
Br3 0.168 0.232 0.883
Br4 0.179 0.817 0.410
Br5 0.193 0.802 0.834
Br6 0.528 0.020 0.268
Br7 0.529 0.016 0.688
Br8 0.533 0.585 0.216
Br9 0.648 0.138 0.956
Br10 0.695 0.682 0.907
O1 0.359 0.913 0.048
```

Main lines, in order of falling intensity (5 to 70 degrees two-theta):
13.05 deg, d = 6.782 Å, intensity 100.0, hkl 0 1 1
18.89 deg, d = 4.699 Å, intensity 44.4, hkl 1 -1 0
14.79 deg, d = 5.989 Å, intensity 33.1, hkl 1 1 0
29.87 deg, d = 2.991 Å, intensity 32.8, hkl 0 0 4
32.30 deg, d = 2.772 Å, intensity 31.4, hkl 2 2 2
30.15 deg, d = 2.964 Å, intensity 28.8, hkl 2 2 1